HfNb2Ga3: calculated powder XRD pattern (Cu Kα (weighted mean of Kα1 and Kα2)), based on a cell relaxed with GGA-PBE.
No peak broadening, texture or thermal motion is included.

Most intense lines, 5 to 70 degrees two-theta, by angle:
index  2θ (°)  d [Å]  I (rel.)
1 1 0  16.4  5.412  4
1 3 -1  28.5  3.134  6
2 0 -2  33.7  2.656  100
0 6 0  46.8  1.940  13
3 3 -1  47.8  1.903  24
1 3 -3  49.1  1.854  23
2 0 2  50.1  1.822  11
2 6 -2  58.9  1.567  13
4 0 0  60.6  1.528  6
0 0 4  62.9  1.478  5

Structure:
a b c (Å): 6.5534 11.6409 6.3389
angles (deg): 90.00 111.12 90.00
Space group C2/c (No. 15)
Inequivalent atoms, fractional coordinates:
Hf: 0.0000 0.0788 0.2500 (multiplicity 4)
Nb: 0.0000 0.2424 0.7500 (multiplicity 4)
Nb: 0.0000 0.4132 0.2500 (multiplicity 4)
Ga: 0.2344 0.4139 0.9921 (multiplicity 8)
Ga: 0.2500 0.2500 0.5000 (multiplicity 4)